Starting from a GGA-PBE-relaxed structure, the XRD peak list of LaDy4Tm was computed for Cu Kα (λ = 1.5418 Å).
No peak broadening, texture or thermal motion is included.

Crystal structure
a b c (Å): 6.0640 6.0640 11.5227
angles (deg): 118.43 118.43 32.85
Fractional coordinates of all 6 atoms:
La 0.0000 0.0000 0.0000
Dy 0.1876 0.1876 0.8409
Dy 0.1939 0.1939 0.3484
Dy 0.8061 0.8061 0.6516
Dy 0.8124 0.8124 0.1591
Tm 0.0000 0.0000 0.5000

The 6 most intense peaks (10° ≤ 2θ ≤ 80°), low angle first:
2θ = 27.47°, rel. 46; 2θ = 30.76°, rel. 92; 2θ = 31.05°, rel. 52; 2θ = 35.26°, rel. 100; 2θ = 41.92°, rel. 30; 2θ = 62.94°, rel. 24